For Li3Fe3O8, a cell relaxed with PBE+U gives the theoretical powder XRD pattern in this record (Cu Kα X-rays).
Kinematic intensities with the Lorentz-polarization factor, no thermal factor.

Top 12 peaks for 2θ = 5–70°, by angle:
h k l	2θ/deg	d/Å	intensity
0 1 1	18.20	4.875	19.8
1 0 1	18.87	4.702	100.0
0 0 2	21.10	4.210	44.6
1 1 0	21.60	4.114	23.7
1 1 2	30.38	2.942	21.3
2 0 0	31.57	2.834	35.4
1 2 1	35.59	2.523	93.8
1 0 3	35.70	2.515	36.9
2 2 0	44.03	2.057	30.9
2 2 2	49.31	1.848	21.3
3 2 1	58.86	1.569	31.4
2 2 4	63.21	1.471	43.0

Cell and atoms:
```
data_Li3Fe3O8
_chemical_formula_sum 'Li6 Fe6 O16'
_cell_length_a 5.6688
_cell_length_b 5.9784
_cell_length_c 8.4197
_cell_angle_alpha 90.00
_cell_angle_beta 90.00
_cell_angle_gamma 90.00
_space_group_name_H-M_alt 'I m m 2'
_space_group_IT_number 44
loop_
_space_group_symop_operation_xyz
'x,y,z'
'-x,-y,z'
'-x,y,z'
'x,-y,z'
'x+1/2,y+1/2,z+1/2'
'-x+1/2,-y+1/2,z+1/2'
'-x+1/2,y+1/2,z+1/2'
'x+1/2,-y+1/2,z+1/2'
loop_
_atom_site_label
_atom_site_type_symbol
_atom_site_fract_x
_atom_site_fract_y
_atom_site_fract_z
Li1 Li 0.0000 0.0000 0.0000
Li2 Li 0.2502 0.0000 0.3943
Fe1 Fe 0.0000 0.2572 0.6504
Fe2 Fe 0.0000 0.5000 0.2891
O1 O 0.0000 0.2470 0.4207
O2 O 0.0000 0.2573 0.8616
O3 O 0.2270 0.5000 0.6476
O4 O 0.2341 0.0000 0.6444
```